(1)
This entry pairs a crystal structure of Rb2Ba8LiSb6O2 with its computed powder diffractogram. Radiation: Cu Kα (weighted mean of Kα1 and Kα2). Structure: the GGA-PBE geometry in the Materials Project.
Kinematic intensities with the Lorentz-polarization factor, no thermal factor.

Principal peaks in the range 10 to 90 degrees two-theta, in order of falling intensity:
2θ (°)  I (rel.)
26.54  100
27.43  89
29.07  57
31.09  50
29.90  27
54.80  22

a = 9.287 Å, b = 9.288 Å, c = 10.373 Å
α = 114.80°, β = 114.72°, γ = 93.65°
Element x y z (fractional)
Rb (0.000, 0.000, 0.000)
Rb (0.500, 0.499, 0.000)
Ba (0.145, 0.051, 0.692)
Ba (0.303, 0.802, 0.299)
Ba (0.491, 0.292, 0.284)
Ba (0.552, 0.645, 0.693)
Ba (0.685, 0.185, 0.685)
Ba (0.792, 0.990, 0.284)
Ba (0.994, 0.494, 0.297)
Ba (0.999, 0.499, 0.685)
Li (0.338, 0.837, 0.693)
Sb (0.117, 0.374, 0.992)
Sb (0.243, 0.244, 0.487)
Sb (0.368, 0.868, 0.971)
Sb (0.596, 0.096, 0.966)
Sb (0.744, 0.743, 0.487)
Sb (0.874, 0.617, 0.992)
O (0.239, 0.740, 0.481)
O (0.740, 0.240, 0.480)



(2)
This entry pairs a crystal structure of GdGeRu with its computed powder diffractogram. Radiation: Cu Kα (weighted mean of Kα1 and Kα2). Structure: the GGA-PBE geometry in the Materials Project.
Kinematic intensities with the Lorentz-polarization factor, no thermal factor.

Principal peaks in the range 10 to 90 degrees two-theta, in order of falling intensity:
2θ (°)  I (rel.)
34.37  100
40.13  28
42.78  22
39.85  19
35.42  15
68.68  15

a = 7.149 Å, b = 4.494 Å, c = 7.187 Å
α = 90.00°, β = 90.00°, γ = 90.00°
Element x y z (fractional)
Gd (0.020, 0.250, 0.190)
Gd (0.480, 0.750, 0.690)
Gd (0.520, 0.250, 0.310)
Gd (0.980, 0.750, 0.810)
Ge (0.199, 0.250, 0.607)
Ge (0.301, 0.750, 0.107)
Ge (0.699, 0.250, 0.893)
Ge (0.801, 0.750, 0.393)
Ru (0.153, 0.750, 0.436)
Ru (0.347, 0.250, 0.936)
Ru (0.653, 0.750, 0.064)
Ru (0.847, 0.250, 0.564)



(3)
This entry pairs a crystal structure of Y2Al3Fe14 with its computed powder diffractogram. Radiation: Cu Kα (weighted mean of Kα1 and Kα2). Structure: the GGA-PBE geometry in the Materials Project.
Kinematic intensities with the Lorentz-polarization factor, no thermal factor.

Principal peaks in the range 10 to 90 degrees two-theta, in order of falling intensity:
2θ (°)  I (rel.)
42.75  100
36.40  46
42.28  43
47.99  32
44.12  27
41.01  25

a = 8.549 Å, b = 8.549 Å, c = 8.210 Å
α = 90.00°, β = 90.00°, γ = 120.00°
Element x y z (fractional)
Y (0.000, 0.000, 0.250)
Y (0.000, 0.000, 0.750)
Y (0.333, 0.667, 0.250)
Y (0.667, 0.333, 0.750)
Al (0.000, 0.500, 0.000)
Al (0.000, 0.500, 0.500)
Al (0.500, 0.000, 0.000)
Al (0.500, 0.000, 0.500)
Al (0.500, 0.500, 0.000)
Al (0.500, 0.500, 0.500)
Fe (0.029, 0.353, 0.750)
Fe (0.029, 0.677, 0.750)
Fe (0.166, 0.332, 0.012)
Fe (0.166, 0.332, 0.488)
Fe (0.166, 0.834, 0.012)
Fe (0.166, 0.834, 0.488)
Fe (0.323, 0.353, 0.750)
Fe (0.323, 0.971, 0.750)
Fe (0.332, 0.166, 0.512)
Fe (0.332, 0.166, 0.988)
Fe (0.333, 0.667, 0.612)
Fe (0.333, 0.667, 0.888)
Fe (0.353, 0.029, 0.250)
Fe (0.353, 0.323, 0.250)
Fe (0.647, 0.677, 0.750)
Fe (0.647, 0.971, 0.750)
Fe (0.667, 0.333, 0.112)
Fe (0.667, 0.333, 0.388)
Fe (0.668, 0.834, 0.012)
Fe (0.668, 0.834, 0.488)
Fe (0.677, 0.029, 0.250)
Fe (0.677, 0.647, 0.250)
Fe (0.834, 0.166, 0.512)
Fe (0.834, 0.166, 0.988)
Fe (0.834, 0.668, 0.512)
Fe (0.834, 0.668, 0.988)
Fe (0.971, 0.323, 0.250)
Fe (0.971, 0.647, 0.250)



(4)
This entry pairs a crystal structure of TiPt3 with its computed powder diffractogram. Radiation: Cu Kα (weighted mean of Kα1 and Kα2). Structure: the GGA-PBE geometry in the Materials Project.
Kinematic intensities with the Lorentz-polarization factor, no thermal factor.

Principal peaks in the range 10 to 90 degrees two-theta, in order of falling intensity:
2θ (°)  I (rel.)
42.26  100
38.46  43
39.57  36
80.63  28
48.05  23
66.92  23

a = 5.593 Å, b = 5.593 Å, c = 9.109 Å
α = 90.00°, β = 90.00°, γ = 120.00°
Element x y z (fractional)
Ti (0.000, 0.000, 0.000)
Ti (0.000, 0.000, 0.500)
Ti (0.333, 0.667, 0.250)
Ti (0.667, 0.333, 0.750)
Pt (0.000, 0.500, 0.000)
Pt (0.000, 0.500, 0.500)
Pt (0.167, 0.333, 0.750)
Pt (0.167, 0.833, 0.750)
Pt (0.333, 0.167, 0.250)
Pt (0.500, 0.000, 0.000)
Pt (0.500, 0.000, 0.500)
Pt (0.500, 0.500, 0.000)
Pt (0.500, 0.500, 0.500)
Pt (0.667, 0.833, 0.750)
Pt (0.833, 0.167, 0.250)
Pt (0.833, 0.667, 0.250)



(5)
This entry pairs a crystal structure of HgP2Se with its computed powder diffractogram. Radiation: Cu Kα (weighted mean of Kα1 and Kα2). Structure: the GGA-PBE geometry in the Materials Project.
Kinematic intensities with the Lorentz-polarization factor, no thermal factor.

Principal peaks in the range 10 to 90 degrees two-theta, in order of falling intensity:
2θ (°)  I (rel.)
37.80  100
22.88  62
68.25  35
44.64  35
54.53  17
26.48  15

a = 4.760 Å, b = 4.760 Å, c = 4.760 Å
α = 60.00°, β = 60.00°, γ = 60.00°
Element x y z (fractional)
Hg (0.000, 0.000, 0.000)
P (0.250, 0.250, 0.250)
P (0.500, 0.500, 0.500)
Se (0.750, 0.750, 0.750)



(6)
This entry pairs a crystal structure of KNa2P3H7N3O8 with its computed powder diffractogram. Radiation: Cu Kα (weighted mean of Kα1 and Kα2). Structure: the GGA-PBE geometry in the Materials Project.
Kinematic intensities with the Lorentz-polarization factor, no thermal factor.

Principal peaks in the range 10 to 90 degrees two-theta, in order of falling intensity:
2θ (°)  I (rel.)
10.60  100
28.24  89
21.67  69
30.06  54
26.46  53
27.20  41

a = 8.088 Å, b = 8.181 Å, c = 8.659 Å
α = 75.22°, β = 82.26°, γ = 76.03°
Element x y z (fractional)
K (0.136, 0.203, 0.443)
K (0.864, 0.797, 0.557)
Na (0.354, 0.344, 0.009)
Na (0.431, 0.487, 0.340)
Na (0.569, 0.513, 0.660)
Na (0.646, 0.656, 0.991)
P (0.058, 0.661, 0.155)
P (0.247, 0.787, 0.846)
P (0.288, 0.908, 0.133)
P (0.712, 0.092, 0.867)
P (0.753, 0.213, 0.154)
P (0.942, 0.339, 0.845)
H (0.012, 0.917, 0.230)
H (0.041, 0.216, 0.093)
H (0.219, 0.471, 0.657)
H (0.242, 0.665, 0.600)
H (0.247, 0.066, 0.873)
H (0.437, 0.862, 0.523)
H (0.478, 0.202, 0.631)
H (0.522, 0.798, 0.369)
H (0.563, 0.138, 0.477)
H (0.753, 0.934, 0.127)
H (0.758, 0.335, 0.400)
H (0.781, 0.529, 0.343)
H (0.959, 0.784, 0.907)
H (0.988, 0.083, 0.770)
N (0.075, 0.717, 0.952)
N (0.116, 0.820, 0.217)
N (0.283, 0.938, 0.932)
N (0.717, 0.062, 0.068)
N (0.884, 0.180, 0.783)
N (0.925, 0.283, 0.048)
O (0.131, 0.324, 0.794)
O (0.184, 0.492, 0.210)
O (0.195, 0.875, 0.676)
O (0.255, 0.084, 0.169)
O (0.274, 0.552, 0.570)
O (0.399, 0.636, 0.867)
O (0.447, 0.773, 0.188)
O (0.454, 0.195, 0.523)
O (0.546, 0.805, 0.477)
O (0.553, 0.227, 0.812)
O (0.601, 0.364, 0.133)
O (0.726, 0.448, 0.430)
O (0.745, 0.916, 0.831)
O (0.805, 0.125, 0.324)
O (0.816, 0.508, 0.790)
O (0.869, 0.676, 0.206)



(7)
This entry pairs a crystal structure of CaH12I2O14 with its computed powder diffractogram. Radiation: Cu Kα (weighted mean of Kα1 and Kα2). Structure: the GGA-PBE geometry in the Materials Project.
Kinematic intensities with the Lorentz-polarization factor, no thermal factor.

Principal peaks in the range 10 to 90 degrees two-theta, in order of falling intensity:
2θ (°)  I (rel.)
17.14  100
19.72  62
17.71  37
10.28  37
24.77  26
15.19  23

a = 10.453 Å, b = 10.453 Å, c = 11.697 Å
α = 119.77°, β = 119.77°, γ = 32.07°
Element x y z (fractional)
Ca (0.087, 0.913, 0.750)
Ca (0.913, 0.087, 0.250)
H (0.013, 0.324, 0.982)
H (0.133, 0.352, 0.818)
H (0.147, 0.702, 0.351)
H (0.162, 0.595, 0.805)
H (0.194, 0.715, 0.949)
H (0.285, 0.806, 0.551)
H (0.298, 0.853, 0.149)
H (0.324, 0.013, 0.482)
H (0.352, 0.133, 0.318)
H (0.376, 0.597, 0.356)
H (0.403, 0.624, 0.144)
H (0.405, 0.838, 0.695)
H (0.595, 0.162, 0.305)
H (0.597, 0.376, 0.856)
H (0.624, 0.403, 0.644)
H (0.648, 0.867, 0.682)
H (0.676, 0.987, 0.518)
H (0.702, 0.147, 0.851)
H (0.715, 0.194, 0.449)
H (0.806, 0.285, 0.051)
H (0.838, 0.405, 0.195)
H (0.853, 0.298, 0.649)
H (0.867, 0.648, 0.182)
H (0.987, 0.676, 0.018)
I (0.099, 0.543, 0.476)
I (0.457, 0.901, 0.024)
I (0.543, 0.099, 0.976)
I (0.901, 0.457, 0.524)
O (0.019, 0.639, 0.334)
O (0.121, 0.158, 0.928)
O (0.127, 0.447, 0.613)
O (0.158, 0.121, 0.428)
O (0.193, 0.381, 0.913)
O (0.204, 0.752, 0.367)
O (0.206, 0.664, 0.854)
O (0.248, 0.796, 0.133)
O (0.305, 0.527, 0.595)
O (0.336, 0.794, 0.646)
O (0.361, 0.981, 0.166)
O (0.381, 0.193, 0.413)
O (0.447, 0.127, 0.113)
O (0.473, 0.695, 0.905)
O (0.527, 0.305, 0.095)
O (0.553, 0.873, 0.887)
O (0.619, 0.807, 0.587)
O (0.639, 0.019, 0.834)
O (0.664, 0.206, 0.354)
O (0.695, 0.473, 0.405)
O (0.752, 0.204, 0.867)
O (0.794, 0.336, 0.146)
O (0.796, 0.248, 0.633)
O (0.807, 0.619, 0.087)
O (0.842, 0.879, 0.572)
O (0.873, 0.553, 0.387)
O (0.879, 0.842, 0.072)
O (0.981, 0.361, 0.666)



What did the fourth record say?
This entry pairs a crystal structure of TiPt3 with its computed powder diffractogram. Radiation: Cu Kα (weighted mean of Kα1 and Kα2). Structure: the GGA-PBE geometry in the Materials Project.
Kinematic intensities with the Lorentz-polarization factor, no thermal factor.

Principal peaks in the range 10 to 90 degrees two-theta, in order of falling intensity:
2θ (°)  I (rel.)
42.26  100
38.46  43
39.57  36
80.63  28
48.05  23
66.92  23

a = 5.593 Å, b = 5.593 Å, c = 9.109 Å
α = 90.00°, β = 90.00°, γ = 120.00°
Element x y z (fractional)
Ti (0.000, 0.000, 0.000)
Ti (0.000, 0.000, 0.500)
Ti (0.333, 0.667, 0.250)
Ti (0.667, 0.333, 0.750)
Pt (0.000, 0.500, 0.000)
Pt (0.000, 0.500, 0.500)
Pt (0.167, 0.333, 0.750)
Pt (0.167, 0.833, 0.750)
Pt (0.333, 0.167, 0.250)
Pt (0.500, 0.000, 0.000)
Pt (0.500, 0.000, 0.500)
Pt (0.500, 0.500, 0.000)
Pt (0.500, 0.500, 0.500)
Pt (0.667, 0.833, 0.750)
Pt (0.833, 0.167, 0.250)
Pt (0.833, 0.667, 0.250)